# 1
The following is a computed XRD peak list of Ba6Hg2NCl. It was derived from a DFT-relaxed cell (PBE, Alexandria), using Cu Ka.
Peak positions follow from Bragg's law for the DFT cell and can differ from measured ones.

Atomic structure:
```
data_Ba6Hg2NCl
_cell_length_a 7.9511
_cell_length_b 8.5215
_cell_length_c 14.0172
_cell_angle_alpha 90.00
_cell_angle_beta 124.44
_cell_angle_gamma 90.00
_space_group_name_H-M_alt 'P 1 21/c 1'
_space_group_IT_number 14
loop_
_space_group_symop_operation_xyz
'x,y,z'
'-x,-y,-z'
'-x,y+1/2,-z+1/2'
'x,-y+1/2,z+1/2'
loop_
_atom_site_label
_atom_site_fract_x
_atom_site_fract_y
_atom_site_fract_z
Ba1 0.1276 0.0261 0.2296
Ba2 0.2215 0.7195 0.0510
Ba3 0.3401 0.1777 0.0514
Hg1 0.2783 0.0804 0.7461
N1 0.0000 0.0000 0.0000
Cl1 0.5000 0.0000 0.5000
```

The 10 most intense peaks (2θ = 10–80°), by angle:
| h k l | 2θ/deg | Rel. int. |
| --- | --- | --- |
| 1 0 2 | 25.68 | 26 |
| 0 2 2 | 25.95 | 100 |
| 2 0 0 | 27.23 | 47 |
| 1 1 -4 | 27.78 | 26 |
| 1 2 -3 | 28.34 | 22 |
| 2 2 -2 | 30.76 | 26 |
| 0 0 4 | 30.94 | 25 |
| 0 2 3 | 31.30 | 18 |
| 1 3 0 | 34.41 | 32 |
| 3 1 -1 | 38.83 | 23 |

# 2
The following is a computed XRD peak list of La4NdTe7. It was derived from a DFT-relaxed cell (PBE, Alexandria), using Cu Ka.
Peak positions follow from Bragg's law for the DFT cell and can differ from measured ones.

Atomic structure:
```
data_La4NdTe7
_cell_length_a 15.0034
_cell_length_b 4.4477
_cell_length_c 13.5886
_cell_angle_alpha 90.00
_cell_angle_beta 104.74
_cell_angle_gamma 90.00
_space_group_name_H-M_alt 'C 1 m 1'
_space_group_IT_number 8
loop_
_space_group_symop_operation_xyz
'x,y,z'
'x,-y,z'
'x+1/2,y+1/2,z'
'x+1/2,-y+1/2,z'
loop_
_atom_site_label
_atom_site_fract_x
_atom_site_fract_y
_atom_site_fract_z
La1 0.0000 0.0000 0.0000
La2 0.0856 0.5000 0.3834
La3 0.1867 0.0000 0.7642
La4 0.3859 0.5000 0.5732
Nd1 0.2708 0.5000 0.1508
Te1 0.0469 0.5000 0.6238
Te2 0.1267 0.5000 0.9252
Te3 0.1483 0.0000 0.2255
Te4 0.2247 0.0000 0.5245
Te5 0.3469 0.5000 0.7907
Te6 0.3829 0.0000 0.0745
Te7 0.4244 0.5000 0.3554
```

The 10 most intense peaks (2θ = 10–80°), by angle:
| h k l | 2θ/deg | Rel. int. |
| --- | --- | --- |
| 2 0 3 | 26.30 | 62 |
| 2 0 -4 | 26.79 | 48 |
| 3 1 -1 | 26.91 | 82 |
| 3 1 0 | 27.24 | 50 |
| 3 1 -2 | 28.29 | 100 |
| 3 1 1 | 29.23 | 72 |
| 3 1 -3 | 31.16 | 48 |
| 1 1 -4 | 33.19 | 48 |
| 1 1 4 | 35.76 | 51 |
| 0 2 0 | 40.57 | 66 |

# 3
The following is a computed XRD peak list of PdSe6Cl2. It was derived from a DFT-relaxed cell (PBE, Alexandria), using Cu Ka.
Peak positions follow from Bragg's law for the DFT cell and can differ from measured ones.

Atomic structure:
```
data_PdSe6Cl2
_cell_length_a 4.9725
_cell_length_b 8.6037
_cell_length_c 13.0433
_cell_angle_alpha 90.00
_cell_angle_beta 102.00
_cell_angle_gamma 90.00
_space_group_name_H-M_alt 'P 1 21/c 1'
_space_group_IT_number 14
loop_
_space_group_symop_operation_xyz
'x,y,z'
'-x,-y,-z'
'-x,y+1/2,-z+1/2'
'x,-y+1/2,z+1/2'
loop_
_atom_site_label
_atom_site_fract_x
_atom_site_fract_y
_atom_site_fract_z
Pd1 0.0000 0.0000 0.0000
Se1 0.0017 0.1310 0.6422
Se2 0.1587 0.2324 0.4912
Se3 0.1857 0.6215 0.1491
Cl1 0.3514 0.5360 0.6465
```

The 10 most intense peaks (2θ = 10–80°), by angle:
| h k l | 2θ/deg | Rel. int. |
| --- | --- | --- |
| 0 0 2 | 13.88 | 36 |
| 1 0 0 | 18.24 | 100 |
| 1 0 -2 | 20.53 | 63 |
| 0 1 3 | 23.33 | 42 |
| 1 1 -3 | 26.89 | 40 |
| 1 1 2 | 27.31 | 31 |
| 0 3 1 | 31.96 | 66 |
| 1 1 3 | 32.43 | 32 |
| 1 3 -1 | 36.33 | 46 |
| 0 0 6 | 42.51 | 26 |

# 4
The following is a computed XRD peak list of MgCd. It was derived from a DFT-relaxed cell (PBE, Alexandria), using Cu Ka.
Peak positions follow from Bragg's law for the DFT cell and can differ from measured ones.

Atomic structure:
```
data_MgCd
_cell_length_a 3.0627
_cell_length_b 12.9401
_cell_length_c 7.2589
_cell_angle_alpha 90.00
_cell_angle_beta 90.00
_cell_angle_gamma 90.00
_space_group_name_H-M_alt 'A m m 2'
_space_group_IT_number 38
loop_
_space_group_symop_operation_xyz
'x,y,z'
'-x,-y,z'
'-x,y,z'
'x,-y,z'
'x,y+1/2,z+1/2'
'-x,-y+1/2,z+1/2'
'-x,y+1/2,z+1/2'
'x,-y+1/2,z+1/2'
loop_
_atom_site_label
_atom_site_fract_x
_atom_site_fract_y
_atom_site_fract_z
Mg1 0.0000 0.0000 0.0000
Mg2 0.0000 0.1238 0.3695
Cd1 0.5000 0.0000 0.6568
Cd2 0.5000 0.2039 0.0294
```

The 10 most intense peaks (2θ = 10–80°), by angle:
| h k l | 2θ/deg | Rel. int. |
| --- | --- | --- |
| 0 3 1 | 24.00 | 100 |
| 0 0 2 | 24.53 | 45 |
| 0 2 2 | 28.19 | 46 |
| 1 0 0 | 29.16 | 37 |
| 0 5 1 | 36.87 | 29 |
| 0 1 3 | 37.83 | 27 |
| 1 3 1 | 38.11 | 94 |
| 1 0 2 | 38.46 | 39 |
| 1 2 2 | 41.00 | 52 |
| 2 0 0 | 60.47 | 39 |

# 5
The following is a computed XRD peak list of SmY2Ho4Mg. It was derived from a DFT-relaxed cell (PBE, Alexandria), using Cu Ka.
Peak positions follow from Bragg's law for the DFT cell and can differ from measured ones.

Atomic structure:
```
data_SmY2Ho4Mg
_cell_length_a 4.9460
_cell_length_b 4.9460
_cell_length_c 10.0668
_cell_angle_alpha 90.00
_cell_angle_beta 90.00
_cell_angle_gamma 90.00
_space_group_name_H-M_alt 'P 4/m m m'
_space_group_IT_number 123
_space_group_name_Hall '-P 4 2'
loop_
_atom_site_label
_atom_site_fract_x
_atom_site_fract_y
_atom_site_fract_z
Sm1 0.0000 0.0000 0.0000
Y1 0.0000 0.0000 0.5000
Y2 0.5000 0.5000 0.0000
Ho1 0.0000 0.5000 0.2530
Mg1 0.5000 0.5000 0.5000
```

The 10 most intense peaks (2θ = 10–80°), by angle:
| h k l | 2θ/deg | Rel. int. |
| --- | --- | --- |
| 0 0 2 | 17.62 | 8 |
| 1 1 0 | 25.47 | 7 |
| 1 1 2 | 31.14 | 100 |
| 0 0 4 | 35.68 | 17 |
| 2 0 0 | 36.33 | 33 |
| 2 0 4 | 51.83 | 24 |
| 2 2 0 | 52.32 | 12 |
| 1 1 6 | 61.28 | 14 |
| 3 1 2 | 62.15 | 28 |
| 2 2 4 | 64.94 | 12 |

# 6
The following is a computed XRD peak list of CsSc2BeCr. It was derived from a DFT-relaxed cell (PBE, Alexandria), using Cu Ka.
Peak positions follow from Bragg's law for the DFT cell and can differ from measured ones.

Atomic structure:
```
data_CsSc2BeCr
_cell_length_a 5.0618
_cell_length_b 5.0618
_cell_length_c 4.9027
_cell_angle_alpha 90.00
_cell_angle_beta 90.00
_cell_angle_gamma 90.00
_space_group_name_H-M_alt 'P 4/m m m'
_space_group_IT_number 123
_space_group_name_Hall '-P 4 2'
loop_
_atom_site_label
_atom_site_fract_x
_atom_site_fract_y
_atom_site_fract_z
Cs1 0.0000 0.0000 0.0000
Sc1 0.0000 0.5000 0.5000
Be1 0.5000 0.5000 0.0000
Cr1 0.5000 0.5000 0.5000
```

The 10 most intense peaks (2θ = 10–80°), by angle:
| h k l | 2θ/deg | Rel. int. |
| --- | --- | --- |
| 1 0 0 | 17.52 | 17 |
| 1 1 0 | 24.88 | 16 |
| 1 0 1 | 25.29 | 100 |
| 1 1 1 | 30.93 | 56 |
| 2 0 0 | 35.47 | 50 |
| 0 0 2 | 36.66 | 23 |
| 2 1 1 | 44.06 | 43 |
| 2 2 0 | 51.03 | 17 |
| 2 0 2 | 51.93 | 32 |
| 2 2 2 | 64.47 | 16 |

# 7
The following is a computed XRD peak list of Dy2YOsC2. It was derived from a DFT-relaxed cell (PBE, Alexandria), using Cu Ka.
Peak positions follow from Bragg's law for the DFT cell and can differ from measured ones.

Atomic structure:
```
data_Dy2YOsC2
_cell_length_a 5.5871
_cell_length_b 11.0128
_cell_length_c 3.7178
_cell_angle_alpha 90.00
_cell_angle_beta 90.00
_cell_angle_gamma 90.00
_space_group_name_H-M_alt 'P n n m'
_space_group_IT_number 58
loop_
_space_group_symop_operation_xyz
'x,y,z'
'-x,-y,-z'
'-x,-y,z'
'x,y,-z'
'x+1/2,-y+1/2,-z+1/2'
'-x+1/2,y+1/2,z+1/2'
'-x+1/2,y+1/2,-z+1/2'
'x+1/2,-y+1/2,z+1/2'
loop_
_atom_site_label
_atom_site_fract_x
_atom_site_fract_y
_atom_site_fract_z
Dy1 0.0446 0.2061 0.0000
Y1 0.0000 0.5000 0.5000
Os1 0.0000 0.0000 0.5000
C1 0.2305 0.6193 0.0000
```

The 10 most intense peaks (2θ = 10–80°), by angle:
| h k l | 2θ/deg | Rel. int. |
| --- | --- | --- |
| 1 1 0 | 17.80 | 24 |
| 2 0 0 | 32.04 | 26 |
| 0 4 0 | 32.52 | 15 |
| 1 2 1 | 33.20 | 100 |
| 0 3 1 | 34.33 | 16 |
| 1 5 0 | 44.20 | 13 |
| 2 4 0 | 46.30 | 12 |
| 2 3 1 | 47.66 | 12 |
| 0 0 2 | 49.00 | 11 |
| 3 2 1 | 57.85 | 15 |

# 8
The following is a computed XRD peak list of Zr2GaFe5B2. It was derived from a DFT-relaxed cell (PBE, Alexandria), using Cu Ka.
Peak positions follow from Bragg's law for the DFT cell and can differ from measured ones.

Atomic structure:
```
data_Zr2GaFe5B2
_cell_length_a 8.7631
_cell_length_b 8.7631
_cell_length_c 3.0871
_cell_angle_alpha 90.00
_cell_angle_beta 90.00
_cell_angle_gamma 90.00
_space_group_name_H-M_alt 'P 4/m b m'
_space_group_IT_number 127
_space_group_name_Hall '-P 4 2ab'
loop_
_atom_site_label
_atom_site_fract_x
_atom_site_fract_y
_atom_site_fract_z
Zr1 0.1764 0.3236 0.0000
Ga1 0.0000 0.0000 0.0000
Fe1 0.0000 0.5000 0.5000
Fe2 0.0678 0.7781 0.5000
B1 0.1196 0.6196 0.0000
```

The 10 most intense peaks (2θ = 10–80°), by angle:
| h k l | 2θ/deg | Rel. int. |
| --- | --- | --- |
| 2 1 1 | 37.07 | 79 |
| 2 2 1 | 41.27 | 45 |
| 4 1 0 | 42.54 | 63 |
| 3 1 1 | 43.90 | 100 |
| 4 2 0 | 46.34 | 28 |
| 3 2 1 | 47.62 | 22 |
| 0 0 2 | 59.93 | 18 |
| 6 0 1 | 71.46 | 15 |
| 5 4 1 | 76.08 | 14 |
| 4 1 2 | 76.23 | 20 |

# 9
The following is a computed XRD peak list of Gd2HfO5. It was derived from a DFT-relaxed cell (PBE, Alexandria), using Cu Ka.
Peak positions follow from Bragg's law for the DFT cell and can differ from measured ones.

Atomic structure:
```
data_Gd2HfO5
_cell_length_a 10.8022
_cell_length_b 3.7975
_cell_length_c 11.6980
_cell_angle_alpha 90.00
_cell_angle_beta 90.00
_cell_angle_gamma 90.00
_space_group_name_H-M_alt 'P n m a'
_space_group_IT_number 62
loop_
_space_group_symop_operation_xyz
'x,y,z'
'-x,-y,-z'
'-x+1/2,-y,z+1/2'
'x+1/2,y,-z+1/2'
'x+1/2,-y+1/2,-z+1/2'
'-x+1/2,y+1/2,z+1/2'
'-x,y+1/2,-z'
'x,-y+1/2,z'
loop_
_atom_site_label
_atom_site_fract_x
_atom_site_fract_y
_atom_site_fract_z
Gd1 0.1227 0.2500 0.2250
Gd2 0.1309 0.2500 0.5606
Hf1 0.1674 0.2500 0.8874
O1 0.0017 0.7500 0.6046
O2 0.0075 0.7500 0.1521
O3 0.2317 0.2500 0.0516
O4 0.2375 0.7500 0.8899
O5 0.2489 0.2500 0.7325
```

The 10 most intense peaks (2θ = 10–80°), by angle:
| h k l | 2θ/deg | Rel. int. |
| --- | --- | --- |
| 1 0 3 | 24.27 | 16 |
| 2 0 3 | 28.23 | 82 |
| 2 1 0 | 28.74 | 100 |
| 0 1 3 | 32.92 | 46 |
| 4 0 0 | 33.17 | 16 |
| 3 0 3 | 33.94 | 24 |
| 4 1 3 | 47.42 | 52 |
| 0 2 0 | 47.91 | 18 |
| 1 1 6 | 53.50 | 13 |
| 2 2 3 | 56.55 | 30 |

# 10
The following is a computed XRD peak list of Tb2DyEr6Sc. It was derived from a DFT-relaxed cell (PBE, Alexandria), using Cu Ka.
Peak positions follow from Bragg's law for the DFT cell and can differ from measured ones.

Atomic structure:
```
data_Tb2DyEr6Sc
_cell_length_a 8.9416
_cell_length_b 14.7151
_cell_length_c 9.4007
_cell_angle_alpha 90.00
_cell_angle_beta 97.93
_cell_angle_gamma 90.00
_space_group_name_H-M_alt 'C 1 2/c 1'
_space_group_IT_number 15
loop_
_space_group_symop_operation_xyz
'x,y,z'
'-x,-y,-z'
'-x,y,-z+1/2'
'x,-y,z+1/2'
'x+1/2,y+1/2,z'
'-x+1/2,-y+1/2,-z'
'-x+1/2,y+1/2,-z+1/2'
'x+1/2,-y+1/2,z+1/2'
loop_
_atom_site_label
_atom_site_fract_x
_atom_site_fract_y
_atom_site_fract_z
Tb1 0.2488 0.0516 0.4535
Dy1 0.0000 0.4790 0.2500
Er1 0.0617 0.3114 0.9433
Er2 0.1010 0.1061 0.1167
Er3 0.2114 0.2789 0.3107
Sc1 0.0000 0.0883 0.7500
```

The 10 most intense peaks (2θ = 10–80°), by angle:
| h k l | 2θ/deg | Rel. int. |
| --- | --- | --- |
| 2 2 -2 | 28.54 | 17 |
| 1 3 2 | 29.23 | 41 |
| 3 1 -1 | 31.09 | 57 |
| 0 2 3 | 31.28 | 39 |
| 1 5 0 | 32.05 | 41 |
| 2 2 2 | 32.18 | 100 |
| 1 5 -1 | 33.08 | 21 |
| 1 3 -3 | 34.52 | 41 |
| 1 1 5 | 51.94 | 15 |
| 4 2 -4 | 54.54 | 17 |

# 11
The following is a computed XRD peak list of HoAl2Fe9. It was derived from a DFT-relaxed cell (PBE, Alexandria), using Cu Ka.
Peak positions follow from Bragg's law for the DFT cell and can differ from measured ones.

Atomic structure:
```
data_HoAl2Fe9
_cell_length_a 8.0455
_cell_length_b 8.0455
_cell_length_c 4.6232
_cell_angle_alpha 90.00
_cell_angle_beta 90.00
_cell_angle_gamma 90.00
_space_group_name_H-M_alt 'P 4/m b m'
_space_group_IT_number 127
_space_group_name_Hall '-P 4 2ab'
loop_
_atom_site_label
_atom_site_fract_x
_atom_site_fract_y
_atom_site_fract_z
Ho1 0.0000 0.0000 0.0000
Al1 0.1205 0.3795 0.0000
Fe1 0.0000 0.5000 0.5000
Fe2 0.0669 0.2109 0.5000
Fe3 0.1764 0.6764 0.2314
```

The 10 most intense peaks (2θ = 10–80°), by angle:
| h k l | 2θ/deg | Rel. int. |
| --- | --- | --- |
| 1 1 1 | 24.80 | 40 |
| 2 2 0 | 31.46 | 17 |
| 3 1 0 | 35.28 | 20 |
| 2 2 1 | 37.11 | 39 |
| 3 1 1 | 40.47 | 100 |
| 3 2 1 | 45.11 | 22 |
| 2 0 2 | 45.24 | 39 |
| 4 1 0 | 46.54 | 40 |
| 2 1 2 | 46.71 | 42 |
| 4 2 0 | 50.76 | 31 |

# 12
The following is a computed XRD peak list of Sr3Cd2Bi3. It was derived from a DFT-relaxed cell (PBE, Alexandria), using Cu Ka.
Peak positions follow from Bragg's law for the DFT cell and can differ from measured ones.

Atomic structure:
```
data_Sr3Cd2Bi3
_cell_length_a 22.1020
_cell_length_b 5.3521
_cell_length_c 4.5793
_cell_angle_alpha 90.00
_cell_angle_beta 101.84
_cell_angle_gamma 90.00
_space_group_name_H-M_alt 'C 1 2/m 1'
_space_group_IT_number 12
loop_
_space_group_symop_operation_xyz
'x,y,z'
'-x,-y,-z'
'-x,y,-z'
'x,-y,z'
'x+1/2,y+1/2,z'
'-x+1/2,-y+1/2,-z'
'-x+1/2,y+1/2,-z'
'x+1/2,-y+1/2,z'
loop_
_atom_site_label
_atom_site_fract_x
_atom_site_fract_y
_atom_site_fract_z
Sr1 0.0000 0.0000 0.0000
Sr2 0.1304 0.5000 0.1312
Cd1 0.2487 0.5000 0.7485
Bi1 0.0000 0.5000 0.5000
Bi2 0.1533 0.0000 0.6541
```

The 10 most intense peaks (2θ = 10–80°), by angle:
| h k l | 2θ/deg | Rel. int. |
| --- | --- | --- |
| 3 1 0 | 20.67 | 17 |
| 6 0 0 | 24.69 | 9 |
| 5 1 -1 | 30.55 | 100 |
| 8 0 0 | 33.13 | 11 |
| 0 2 0 | 33.49 | 24 |
| 2 0 -2 | 39.35 | 15 |
| 8 2 0 | 47.82 | 8 |
| 2 2 -2 | 52.61 | 14 |
| 5 3 -1 | 58.05 | 17 |
| 7 1 -3 | 65.94 | 13 |